[1]
This entry pairs a crystal structure of CdCu3Au3 with its computed powder X-ray diffraction pattern. Radiation: Cu Kα. Structure: a PBE-relaxed structure.
Lines closer than 0.1° are merged.

Peak list (12 most intense, 2θ = 5–70°, in order of rising 2θ)
2theta  d [Å]  I (rel.)  h k l
16.5  5.368  26  1 0 1
26.7  3.340  24  0 0 6
30.9  2.898  93  1 1 3
33.4  2.684  69  2 0 2
35.2  2.546  22  1 0 7
38.9  2.317  94  1 1 6
39.4  2.286  63  0 1 8
43.2  2.095  100  3 -1 1
43.9  2.061  31  3 -2 2
45.4  1.997  29  0 2 7
48.9  1.864  39  1 2 5
49.8  1.831  45  2 -1 9

Structure:
```
data_CdCu3Au3
_cell_length_a 6.4341
_cell_length_b 6.4341
_cell_length_c 20.0387
_cell_angle_alpha 90.00
_cell_angle_beta 90.00
_cell_angle_gamma 120.00
_space_group_name_H-M_alt 'R -3'
_space_group_IT_number 148
_space_group_name_Hall '-R 3'
loop_
_atom_site_label
_atom_site_type_symbol
_atom_site_fract_x
_atom_site_fract_y
_atom_site_fract_z
Cd1 Cd 0.0000 0.0000 0.1833
Cu1 Cu 0.0399 0.7838 0.6975
Au1 Au 0.0514 0.7735 0.5663
```

***

[2]
This entry pairs a crystal structure of Cd8Cu2Au with its computed powder X-ray diffraction pattern. Radiation: Cu Kα. Structure: a PBE-relaxed structure.
Lines closer than 0.1° are merged.

Peak list (12 most intense, 2θ = 5–70°, in order of rising 2θ)
2theta  d [Å]  I (rel.)  h k l
13.7  6.478  9  0 1 1
26.9  3.309  17  1 1 2
35.9  2.502  21  1 1 4
36.9  2.434  15  0 3 1
37.5  2.396  100  1 2 3
40.5  2.228  24  2 0 0
40.9  2.207  21  0 0 6
49.1  1.857  8  0 4 0
56.0  1.643  9  2 3 1
58.9  1.568  13  2 0 6
65.4  1.426  6  2 4 0
65.7  1.421  7  0 4 6

Structure:
```
data_Cd8Cu2Au
_cell_length_a 4.4552
_cell_length_b 7.4273
_cell_length_c 13.2433
_cell_angle_alpha 90.00
_cell_angle_beta 90.00
_cell_angle_gamma 90.00
_space_group_name_H-M_alt 'I m m m'
_space_group_IT_number 71
_space_group_name_Hall '-I 2 2'
loop_
_atom_site_label
_atom_site_type_symbol
_atom_site_fract_x
_atom_site_fract_y
_atom_site_fract_z
Cd1 Cd 0.0000 0.0000 0.1556
Cd2 Cd 0.0000 0.2188 0.3422
Cd3 Cd 0.0000 0.3050 0.0000
Cu1 Cu 0.0000 0.5000 0.1853
Au1 Au 0.0000 0.5000 0.5000
```

***

[3]
This entry pairs a crystal structure of Cd2Cu5Au5 with its computed powder X-ray diffraction pattern. Radiation: Cu Kα. Structure: a PBE-relaxed structure.
Lines closer than 0.1° are merged.

Peak list (12 most intense, 2θ = 5–70°, in order of rising 2θ)
2theta  d [Å]  I (rel.)  h k l
22.9  3.883  13  2 0 1
25.7  3.467  20  1 1 0
38.7  2.329  100  3 1 -3
39.5  2.282  95  3 1 1
42.6  2.120  34  0 0 4
43.4  2.085  35  6 0 -2
46.8  1.940  8  1 1 -4
50.0  1.825  25  0 2 0
61.3  1.512  13  6 0 -6
63.6  1.462  11  6 0 2
67.7  1.383  17  0 2 4
68.3  1.373  18  6 2 -2

Structure:
```
data_Cd2Cu5Au5
_cell_length_a 12.5148
_cell_length_b 3.6508
_cell_length_c 9.5815
_cell_angle_alpha 90.00
_cell_angle_beta 117.73
_cell_angle_gamma 90.00
_space_group_name_H-M_alt 'C 1 2/m 1'
_space_group_IT_number 12
loop_
_space_group_symop_operation_xyz
'x,y,z'
'-x,-y,-z'
'-x,y,-z'
'x,-y,z'
'x+1/2,y+1/2,z'
'-x+1/2,-y+1/2,-z'
'-x+1/2,y+1/2,-z'
'x+1/2,-y+1/2,z'
loop_
_atom_site_label
_atom_site_type_symbol
_atom_site_fract_x
_atom_site_fract_y
_atom_site_fract_z
Cd1 Cd 0.0911 0.0000 0.2558
Cu1 Cu 0.0000 0.0000 0.5000
Cu2 Cu 0.1740 0.0000 0.0032
Cu3 Cu 0.2476 0.5000 0.2229
Au1 Au 0.0000 0.5000 0.0000
Au2 Au 0.0921 0.5000 0.7617
Au3 Au 0.1635 0.5000 0.5201
```

***

[4]
This entry pairs a crystal structure of CdCu3Au5 with its computed powder X-ray diffraction pattern. Radiation: Cu Kα. Structure: a PBE-relaxed structure.
Lines closer than 0.1° are merged.

Peak list (12 most intense, 2θ = 5–70°, in order of rising 2θ)
2theta  d [Å]  I (rel.)  h k l
11.5  7.696  33  0 0 1
17.7  5.024  23  2 0 0
25.4  3.511  25  3 1 -1
29.3  3.047  60  2 0 -3
35.0  2.562  100  2 2 1
39.0  2.309  31  4 2 -1
40.1  2.247  21  2 0 -4
40.6  2.222  36  1 3 -2
41.5  2.177  55  4 2 -3
42.5  2.129  39  1 1 3
43.5  2.080  25  4 0 1
47.4  1.917  25  0 4 0

Structure:
```
data_CdCu3Au5
_cell_length_a 11.9384
_cell_length_b 7.6693
_cell_length_c 9.1429
_cell_angle_alpha 90.00
_cell_angle_beta 122.68
_cell_angle_gamma 90.00
_space_group_name_H-M_alt 'C 1 2/m 1'
_space_group_IT_number 12
loop_
_space_group_symop_operation_xyz
'x,y,z'
'-x,-y,-z'
'-x,y,-z'
'x,-y,z'
'x+1/2,y+1/2,z'
'-x+1/2,-y+1/2,-z'
'-x+1/2,y+1/2,-z'
'x+1/2,-y+1/2,z'
loop_
_atom_site_label
_atom_site_type_symbol
_atom_site_fract_x
_atom_site_fract_y
_atom_site_fract_z
Cd1 Cd 0.1601 0.0000 0.3659
Cu1 Cu 0.0000 0.0000 0.0000
Cu2 Cu 0.0000 0.0000 0.5000
Cu3 Cu 0.1128 0.5000 0.6217
Cu4 Cu 0.2470 0.5000 0.2284
Au1 Au 0.0000 0.3244 0.0000
Au2 Au 0.0790 0.2109 0.7631
Au3 Au 0.0881 0.5000 0.3283
Au4 Au 0.2381 0.0000 0.0551
```

***

[5]
This entry pairs a crystal structure of Cd2Ga2Cu5Au3 with its computed powder X-ray diffraction pattern. Radiation: Cu Kα. Structure: a PBE-relaxed structure.
Lines closer than 0.1° are merged.

Peak list (12 most intense, 2θ = 5–70°, in order of rising 2θ)
2theta  d [Å]  I (rel.)  h k l
23.3  3.822  34  1 0 1
32.8  2.731  86  1 1 0
33.2  2.697  72  1 0 7
33.5  2.675  24  1 1 2
38.6  2.334  37  1 0 9
38.8  2.320  100  1 1 6
43.0  2.103  93  1 1 8
44.5  2.037  18  1 0 11
47.0  1.931  93  2 0 0
58.8  1.570  29  2 1 7
68.7  1.366  29  2 2 0
69.7  1.348  21  2 0 14

Structure:
```
data_Cd2Ga2Cu5Au3
_cell_length_a 3.8629
_cell_length_b 3.8629
_cell_length_c 26.3641
_cell_angle_alpha 90.00
_cell_angle_beta 90.00
_cell_angle_gamma 90.00
_space_group_name_H-M_alt 'I 4/m m m'
_space_group_IT_number 139
_space_group_name_Hall '-I 4 2'
loop_
_atom_site_label
_atom_site_type_symbol
_atom_site_fract_x
_atom_site_fract_y
_atom_site_fract_z
Cd1 Cd 0.0000 0.0000 0.2316
Ga1 Ga 0.0000 0.0000 0.1315
Cu1 Cu 0.0000 0.0000 0.0000
Cu2 Cu 0.0000 0.5000 0.0705
Au1 Au 0.0000 0.0000 0.3448
Au2 Au 0.0000 0.0000 0.5000
```

***

[6]
This entry pairs a crystal structure of Cd2CuAuO4 with its computed powder X-ray diffraction pattern. Radiation: Cu Kα. Structure: a PBE-relaxed structure.
Lines closer than 0.1° are merged.

Peak list (12 most intense, 2θ = 5–70°, in order of rising 2θ)
2theta  d [Å]  I (rel.)  h k l
20.2  4.390  11  1 0 1
22.2  4.007  9  1 1 0
25.7  3.471  3  0 0 2
31.6  2.834  46  2 0 0
34.2  2.624  100  1 1 2
37.8  2.381  6  2 1 1
41.1  2.195  5  2 0 2
45.3  2.004  28  2 2 0
52.7  1.736  7  0 0 4
57.9  1.592  44  3 1 2
62.8  1.480  19  2 0 4
65.9  1.417  8  4 0 0

Structure:
```
data_Cd2CuAuO4
_cell_length_a 5.6671
_cell_length_b 5.6671
_cell_length_c 6.9427
_cell_angle_alpha 90.00
_cell_angle_beta 90.00
_cell_angle_gamma 90.00
_space_group_name_H-M_alt 'I -4'
_space_group_IT_number 82
loop_
_space_group_symop_operation_xyz
'x,y,z'
'y,-x,-z'
'-x,-y,z'
'-y,x,-z'
'x+1/2,y+1/2,z+1/2'
'y+1/2,-x+1/2,-z+1/2'
'-x+1/2,-y+1/2,z+1/2'
'-y+1/2,x+1/2,-z+1/2'
loop_
_atom_site_label
_atom_site_type_symbol
_atom_site_fract_x
_atom_site_fract_y
_atom_site_fract_z
Cd1 Cd 0.0000 0.0000 0.0000
Cd2 Cd 0.0000 0.5000 0.2500
Cu1 Cu 0.0000 0.0000 0.5000
Au1 Au 0.0000 0.5000 0.7500
O1 O 0.2273 0.7699 0.3924
```